# In10Pb6S21
Simulated XRD peak list, λ = 1.5418 Å (Cu Kα). Input: a GGA-PBE-relaxed structure.
Peak positions follow from Bragg's law for the DFT cell and can differ from measured ones.

The 6 most intense peaks (2θ from 10° to 90°), sorted by position:
- 2θ = 24.72°, I 494, (0 2 -4)
- 2θ = 25.62°, I 892, (0 4 -1)
- 2θ = 26.63°, I 544, (0 3 3)
- 2θ = 31.95°, I 1000, (1 2 -3)
- 2θ = 32.55°, I 667, (-1 1 4)
- 2θ = 46.66°, I 950, (2 -1 0)

Atomic structure:
```
data_In10Pb6S21
_cell_length_a 3.893
_cell_length_b 14.151
_cell_length_c 15.976
_cell_angle_alpha 95.24
_cell_angle_beta 90.02
_cell_angle_gamma 97.83
_space_group_name_H-M_alt 'P 1'
_space_group_IT_number 1
loop_
_space_group_symop_operation_xyz
'x,y,z'
loop_
_atom_site_label
_atom_site_type_symbol
_atom_site_fract_x
_atom_site_fract_y
_atom_site_fract_z
In1 In 0.000 0.000 0.000
In2 In 0.028 0.053 0.258
In3 In 0.206 0.404 0.615
In4 In 0.250 0.496 0.022
In5 In 0.305 0.598 0.435
In6 In 0.422 0.826 0.147
In7 In 0.615 0.224 0.110
In8 In 0.739 0.456 0.822
In9 In 0.781 0.555 0.236
In10 In 0.830 0.651 0.643
Pb1 Pb 0.384 0.749 0.886
Pb2 Pb 0.451 0.878 0.425
Pb3 Pb 0.471 0.929 0.698
Pb4 Pb 0.560 0.128 0.559
Pb5 Pb 0.589 0.175 0.835
Pb6 Pb 0.649 0.300 0.371
S1 S 0.052 0.098 0.721
S2 S 0.097 0.184 0.003
S3 S 0.117 0.230 0.225
S4 S 0.133 0.265 0.497
S5 S 0.195 0.371 0.890
S6 S 0.236 0.464 0.316
S7 S 0.275 0.556 0.727
S8 S 0.320 0.634 0.152
S9 S 0.367 0.725 0.562
S10 S 0.488 0.975 0.893
S11 S 0.524 0.027 0.129
S12 S 0.542 0.079 0.366
S13 S 0.669 0.330 0.694
S14 S 0.711 0.417 0.106
S15 S 0.746 0.500 0.531
S16 S 0.797 0.588 0.942
S17 S 0.846 0.682 0.366
S18 S 0.901 0.789 0.761
S19 S 0.916 0.823 0.033
S20 S 0.946 0.869 0.254
S21 S 0.990 0.957 0.537
```



# In10Pb6S21
Simulated XRD peak list, λ = 1.5418 Å (Cu Kα). Input: a GGA-PBE-relaxed structure.
Peak positions follow from Bragg's law for the DFT cell and can differ from measured ones.

The 6 most intense peaks (2θ from 10° to 90°), sorted by position:
- 2θ = 24.72°, I 477, (0 2 4)
- 2θ = 25.64°, I 782, (0 4 1)
- 2θ = 26.65°, I 545, (0 3 -3)
- 2θ = 31.93°, I 1000, (-1 2 3)
- 2θ = 32.55°, I 662, (1 1 -4)
- 2θ = 46.64°, I 919, (2 1 0)

Atomic structure:
```
data_In10Pb6S21
_cell_length_a 3.896
_cell_length_b 14.145
_cell_length_c 15.973
_cell_angle_alpha 84.71
_cell_angle_beta 90.00
_cell_angle_gamma 82.11
_space_group_name_H-M_alt 'P -1'
_space_group_IT_number 2
loop_
_space_group_symop_operation_xyz
'x,y,z'
'-x,-y,-z'
loop_
_atom_site_label
_atom_site_type_symbol
_atom_site_fract_x
_atom_site_fract_y
_atom_site_fract_z
In1 In 0.018 0.474 0.129
In2 In 0.189 0.124 0.484
In3 In 0.231 0.029 0.894
In4 In 0.289 0.929 0.308
In5 In 0.404 0.699 0.019
Pb1 Pb 0.358 0.774 0.759
Pb2 Pb 0.435 0.647 0.294
Pb3 Pb 0.455 0.599 0.569
S1 S 0.030 0.431 0.593
S2 S 0.083 0.341 0.874
S3 S 0.105 0.297 0.096
S4 S 0.120 0.263 0.367
S5 S 0.170 0.154 0.762
S6 S 0.223 0.063 0.188
S7 S 0.270 0.973 0.599
S8 S 0.306 0.892 0.025
S9 S 0.347 0.800 0.435
S10 S 0.470 0.552 0.764
S11 S 0.500 0.500 0.000
```



# In2PbS4
Simulated XRD peak list, λ = 1.5418 Å (Cu Kα). Input: a GGA-PBE-relaxed structure.
Peak positions follow from Bragg's law for the DFT cell and can differ from measured ones.

The 6 most intense peaks (2θ from 10° to 90°), sorted by position:
- 2θ = 25.69°, I 1000, (3 0 2)
- 2θ = 27.30°, I 391, (1 1 2)
- 2θ = 30.93°, I 453, (1 1 3)
- 2θ = 37.83°, I 268, (4 1 0)
- 2θ = 46.29°, I 260, (4 1 4)
- 2θ = 54.04°, I 313, (3 2 2)

Atomic structure:
```
data_In2PbS4
_cell_length_a 12.005
_cell_length_b 3.892
_cell_length_c 13.884
_cell_angle_alpha 90.00
_cell_angle_beta 90.00
_cell_angle_gamma 90.00
_space_group_name_H-M_alt 'P n m a'
_space_group_IT_number 62
loop_
_space_group_symop_operation_xyz
'x,y,z'
'-x,-y,-z'
'-x+1/2,-y,z+1/2'
'x+1/2,y,-z+1/2'
'x+1/2,-y+1/2,-z+1/2'
'-x+1/2,y+1/2,z+1/2'
'-x,y+1/2,-z'
'x,-y+1/2,z'
loop_
_atom_site_label
_atom_site_type_symbol
_atom_site_fract_x
_atom_site_fract_y
_atom_site_fract_z
In1 In 0.062 0.250 0.112
In2 In 0.084 0.250 0.598
Pb1 Pb 0.246 0.250 0.337
S1 S 0.046 0.750 0.720
S2 S 0.092 0.250 0.928
S3 S 0.121 0.750 0.470
S4 S 0.200 0.750 0.164
```